Co3B7ClO13: simulated powder diffractogram (λ = 1.5418 Å (Cu Kα)), based on a crystal structure in OQMD, relaxed with PBE+U.
Kinematic intensities with the Lorentz-polarization factor, no thermal factor.

The 12 most intense peaks (5 to 70 degrees two-theta), by angle:
index	2θ/deg	Rel. int.
1 0 4	20.82	25
0 0 6	25.57	57
0 2 4	29.61	100
1 2 2	33.20	56
3 0 0	36.49	19
2 0 8	42.37	51
2 1 7	44.41	36
0 2 10	50.14	44
4 0 4	52.54	23
2 3 2	54.87	24
3 2 4	57.13	16
5 0 2	63.59	18

Structural model:
```
data_Co3B7ClO13
_chemical_formula_sum 'Co18 B42 Cl6 O78'
_space_group_name_H-M_alt 'R 3 c'
_space_group_IT_number 161
_space_group_name_Hall 'R 3 -2"c'
_cell_length_a 8.5304
_cell_length_b 8.5304
_cell_length_c 20.9126
_cell_angle_alpha 90.00
_cell_angle_beta 90.00
_cell_angle_gamma 120.00
loop_
_atom_site_label
_atom_site_fract_x
_atom_site_fract_y
_atom_site_fract_z
Co1 0.0414 0.5197 0.0000
B1 0.0000 0.0000 0.1091
B2 0.0036 0.5016 0.2576
B3 0.1022 0.2046 0.4794
Cl1 0.0000 0.0000 0.2736
O1 0.0000 0.0000 0.4975
O2 0.0235 0.2206 0.9196
O3 0.0251 0.4354 0.6959
O4 0.0704 0.3751 0.1390
O5 0.1614 0.0009 0.6125
```